(1)
Simulated XRD peak list
Compound: Rb2HOsF6
Radiation: Cu Kα, 1.54184 Å
Structure: DFT lattice parameters and positions (PBE)
Lines closer than 0.1° are merged.

Most intense lines, 15 to 90 degrees two-theta, in order of rising 2θ:
17.18 deg, I 100; 28.12 deg, I 77; 28.46 deg, I 37; 32.83 deg, I 15; 33.43 deg, I 29; 39.67 deg, I 16; 40.69 deg, I 29; 44.00 deg, I 10; 49.55 deg, I 15; 50.19 deg, I 30; 53.65 deg, I 12; 58.13 deg, I 18

Structural model:
Unit cell a=6.272 b=6.272 c=9.087 alpha=90.00 beta=90.00 gamma=90.00
Space group I4/mmm (No. 139)
One atom of each set of equivalent atoms:
Rb  0.000  0.500  0.250
H  0.000  0.000  0.000
Os  0.000  0.000  0.500
F  0.000  0.000  0.280
F  0.222  0.222  0.500


(2)
Simulated XRD peak list
Compound: P2H7F2
Radiation: Cu Kα, 1.54184 Å
Structure: DFT lattice parameters and positions (PBE)
Lines closer than 0.1° are merged.

Most intense lines, 15 to 90 degrees two-theta, in order of rising 2θ:
18.18 deg, I 53; 20.52 deg, I 47; 21.53 deg, I 100; 22.35 deg, I 36; 23.13 deg, I 50; 27.30 deg, I 70; 27.48 deg, I 32; 29.13 deg, I 62; 35.86 deg, I 27; 41.33 deg, I 34; 46.54 deg, I 13; 57.97 deg, I 13

Structural model:
Unit cell a=4.506 b=4.914 c=6.760 alpha=90.30 beta=104.72 gamma=96.40
Space group P1 (No. 1)
One atom of each set of equivalent atoms:
P  0.000  0.000  0.000
P  0.424  0.549  0.470
H  0.203  0.379  0.321
H  0.326  0.109  0.060
H  0.370  0.590  0.663
H  0.618  0.334  0.535
H  0.659  0.722  0.415
H  0.733  0.833  0.035
H  0.889  0.112  0.806
F  0.113  0.710  0.928
F  0.178  0.818  0.386


(3)
Simulated XRD peak list
Compound: PH4F
Radiation: Cu Kα, 1.54184 Å
Structure: DFT lattice parameters and positions (PBE)
Lines closer than 0.1° are merged.

Most intense lines, 15 to 90 degrees two-theta, in order of rising 2θ:
20.91 deg, I 79; 21.55 deg, I 42; 22.56 deg, I 41; 24.51 deg, I 15; 24.90 deg, I 45; 25.21 deg, I 34; 25.44 deg, I 100; 30.95 deg, I 19; 33.15 deg, I 40; 37.02 deg, I 39; 45.66 deg, I 35; 60.26 deg, I 15

Structural model:
Unit cell a=4.717 b=8.498 c=8.382 alpha=90.00 beta=123.33 gamma=90.00
Space group P2_1/c (No. 14)
One atom of each set of equivalent atoms:
P  0.199  0.178  0.222
H  0.109  0.606  0.416
H  0.314  0.186  0.679
H  0.362  0.133  0.415
H  0.401  0.073  0.187
F  0.051  0.692  0.734


(4)
Simulated XRD peak list
Compound: P3H12F
Radiation: Cu Kα, 1.54184 Å
Structure: DFT lattice parameters and positions (PBE)
Lines closer than 0.1° are merged.

Most intense lines, 15 to 90 degrees two-theta, in order of rising 2θ:
20.73 deg, I 6; 24.21 deg, I 100; 24.89 deg, I 21; 32.61 deg, I 14; 36.32 deg, I 26; 43.43 deg, I 14; 44.13 deg, I 11; 44.53 deg, I 16; 55.70 deg, I 4; 57.86 deg, I 5; 58.43 deg, I 9; 70.26 deg, I 5

Structural model:
Unit cell a=8.5694 b=8.5694 c=21.4598 alpha=90.00 beta=90.00 gamma=120.00
Space group R3c (No. 161, hexagonal axes)
One atom of each set of equivalent atoms:
P  0.0022  0.3087  0.0000
H  0.0020  0.0660  0.0077
H  0.0065  0.1890  0.6454
H  0.0296  0.3007  0.3921
H  0.1422  0.4585  0.9678
F  0.0000  0.0000  0.1189


(5)
Simulated XRD peak list
Compound: PHPb2F10
Radiation: Cu Kα, 1.54184 Å
Structure: DFT lattice parameters and positions (PBE)
Lines closer than 0.1° are merged.

Most intense lines, 15 to 90 degrees two-theta, in order of rising 2θ:
18.41 deg, I 91; 20.77 deg, I 46; 24.10 deg, I 100; 24.94 deg, I 79; 25.81 deg, I 46; 27.94 deg, I 35; 28.72 deg, I 30; 30.61 deg, I 43; 32.61 deg, I 29; 37.32 deg, I 32; 41.54 deg, I 39; 43.58 deg, I 30

Structural model:
Unit cell a=4.659 b=4.845 c=9.004 alpha=87.01 beta=76.82 gamma=84.29
Space group P-1 (No. 2)
One atom of each set of equivalent atoms:
P  0.000  0.000  0.000
H  0.500  0.000  0.500
Pb  0.334  0.519  0.315
F  0.093  0.099  0.153
F  0.175  0.246  0.897
F  0.212  0.514  0.584
F  0.301  0.787  0.963
F  0.391  0.021  0.397


(6)
Simulated XRD peak list
Compound: PaH3F6
Radiation: Cu Kα, 1.54184 Å
Structure: DFT lattice parameters and positions (PBE)
Lines closer than 0.1° are merged.

Most intense lines, 15 to 90 degrees two-theta, in order of rising 2θ:
15.81 deg, I 100; 17.47 deg, I 33; 20.47 deg, I 22; 21.65 deg, I 49; 23.43 deg, I 13; 24.24 deg, I 12; 25.49 deg, I 24; 30.24 deg, I 16; 33.95 deg, I 33; 41.46 deg, I 11; 43.35 deg, I 11; 48.75 deg, I 12

Structural model:
Unit cell a=8.957 b=7.344 c=5.241 alpha=90.00 beta=104.39 gamma=90.00
Space group Cm (No. 8)
One atom of each set of equivalent atoms:
Pa  0.000  0.000  0.000
H  0.157  0.500  0.589
H  0.492  0.000  0.433
H  0.493  0.000  0.579
F  0.086  0.204  0.800
F  0.189  0.000  0.321
F  0.270  0.500  0.622
F  0.392  0.300  0.168


(7)
Simulated XRD peak list
Compound: PaHF
Radiation: Cu Kα, 1.54184 Å
Structure: DFT lattice parameters and positions (PBE)
Lines closer than 0.1° are merged.

Most intense lines, 15 to 90 degrees two-theta, in order of rising 2θ:
18.66 deg, I 36; 24.40 deg, I 100; 30.29 deg, I 22; 31.48 deg, I 73; 33.17 deg, I 90; 33.71 deg, I 79; 39.75 deg, I 53; 48.42 deg, I 66; 52.35 deg, I 24; 53.07 deg, I 23; 54.58 deg, I 18; 69.60 deg, I 21

Structural model:
Unit cell a=6.270 b=10.024 c=10.642 alpha=90.00 beta=90.00 gamma=90.00
Space group Fddd (No. 70, origin choice 2)
One atom of each set of equivalent atoms:
Pa  0.125  0.314  0.125
H  0.125  0.125  0.018
F  0.000  0.000  0.500